(1)
This entry pairs a crystal structure of PaMnAlTc with its theoretical powder XRD pattern. Radiation: Cu Kα, 1.54184 Å. Structure: a DFT-relaxed cell (PBE, Alexandria).
Intensities are scaled so that the largest is 100.

Structure:
```
PaMnAlTc
1.0
0.000 3.213 3.213
3.213 0.000 3.213
3.213 3.213 0.000
Pa Mn Al Tc
1 1 1 1
Direct
0.000 0.000 0.000
0.750 0.750 0.750
0.500 0.500 0.500
0.250 0.250 0.250
```

Most intense lines, 2θ from 5° to 70°, low angle first:
| 2θ (°) | d/Å | I_rel |
| --- | --- | --- |
| 23.98 | 3.711 | 59 |
| 27.76 | 3.213 | 7 |
| 39.67 | 2.272 | 100 |
| 46.89 | 1.938 | 32 |
| 49.11 | 1.855 | 2 |
| 57.35 | 1.607 | 17 |
| 63.05 | 1.474 | 13 |
| 64.88 | 1.437 | 3 |


(2)
This entry pairs a crystal structure of BaAcI2N with its theoretical powder XRD pattern. Radiation: Cu Kα, 1.54184 Å. Structure: a DFT-relaxed cell (PBE, Alexandria).
Intensities are scaled so that the largest is 100.

Structure:
```
BaAcI2N
1.0
4.586 0.000 0.000
0.000 4.586 0.000
0.000 0.000 18.634
Ba Ac I N
2 2 4 2
Direct
0.250 0.250 0.138
0.750 0.750 0.862
0.250 0.250 0.557
0.750 0.750 0.443
0.250 0.250 0.312
0.250 0.250 0.923
0.750 0.750 0.077
0.750 0.750 0.688
0.250 0.750 0.500
0.750 0.250 0.500
```

Most intense lines, 2θ from 5° to 70°, low angle first:
| 2θ (°) | d/Å | I_rel |
| --- | --- | --- |
| 9.49 | 9.317 | 30 |
| 24.12 | 3.689 | 73 |
| 27.29 | 3.268 | 20 |
| 27.51 | 3.243 | 100 |
| 30.92 | 2.892 | 92 |
| 39.29 | 2.293 | 42 |
| 44.01 | 2.057 | 13 |
| 46.64 | 1.947 | 25 |
| 48.10 | 1.892 | 14 |
| 50.82 | 1.797 | 46 |
| 56.78 | 1.621 | 14 |
| 64.23 | 1.450 | 19 |


(3)
This entry pairs a crystal structure of Tl6In5Bi2 with its theoretical powder XRD pattern. Radiation: Cu Kα, 1.54184 Å. Structure: a DFT-relaxed cell (PBE, Alexandria).
Intensities are scaled so that the largest is 100.

Structure:
```
Tl6In5Bi2
1.0
11.668 0.000 0.000
0.000 19.826 0.000
0.000 0.000 3.446
Tl In Bi
12 10 4
Direct
0.065 0.077 0.000
0.085 0.366 0.000
0.181 0.631 0.500
0.319 0.131 0.500
0.415 0.866 0.000
0.435 0.577 0.000
0.565 0.423 0.000
0.585 0.134 0.000
0.681 0.869 0.500
0.819 0.369 0.500
0.915 0.634 0.000
0.935 0.923 0.000
0.000 0.500 0.500
0.087 0.224 0.500
0.197 0.943 0.500
0.303 0.443 0.500
0.413 0.724 0.500
0.500 0.000 0.500
0.587 0.276 0.500
0.697 0.557 0.500
0.803 0.057 0.500
0.913 0.776 0.500
0.158 0.788 0.000
0.342 0.288 0.000
0.658 0.712 0.000
0.842 0.212 0.000
```

Most intense lines, 2θ from 5° to 70°, low angle first:
| 2θ (°) | d/Å | I_rel |
| --- | --- | --- |
| 28.47 | 3.136 | 20 |
| 30.99 | 2.886 | 58 |
| 32.24 | 2.777 | 20 |
| 32.54 | 2.751 | 100 |
| 33.09 | 2.707 | 95 |
| 35.25 | 2.546 | 35 |
| 37.43 | 2.403 | 25 |
| 39.37 | 2.289 | 17 |
| 53.15 | 1.723 | 20 |
| 53.94 | 1.700 | 24 |
| 57.50 | 1.603 | 18 |
| 63.72 | 1.461 | 17 |